No. 1
Theoretical powder XRD pattern of Sr2Cl for Cu Kα (λ = 1.5418 Å), from a structure optimized by DFT (GGA-PBE).

Main lines, low angle first (2θ from 10° to 90°):
- 24.81 deg, d = 3.589 Å, rel. 33.6
- 25.85 deg, d = 3.447 Å, rel. 22.8
- 26.65 deg, d = 3.344 Å, rel. 100.0
- 29.88 deg, d = 2.991 Å, rel. 54.6
- 34.35 deg, d = 2.611 Å, rel. 24.4
- 38.05 deg, d = 2.365 Å, rel. 37.2

Cell and atoms:
Lattice parameters (Å, degrees): 8.754 8.754 6.691 90.00 90.00 152.65
Fractional positions:
Sr 0.060 0.940 0.750
Sr 0.347 0.653 0.750
Sr 0.653 0.347 0.250
Sr 0.940 0.060 0.250
Cl 0.292 0.708 0.250
Cl 0.708 0.292 0.750

No. 2
Theoretical powder XRD pattern of SrCl5 for Cu Kα (λ = 1.5418 Å), from a structure optimized by DFT (GGA-PBE).

Main lines, low angle first (2θ from 10° to 90°):
- 17.96 deg, d = 4.940 Å, rel. 48.7
- 19.63 deg, d = 4.521 Å, rel. 100.0
- 30.97 deg, d = 2.888 Å, rel. 99.5
- 31.27 deg, d = 2.860 Å, rel. 41.2
- 36.03 deg, d = 2.493 Å, rel. 48.5
- 42.63 deg, d = 2.121 Å, rel. 41.6

Cell and atoms:
Lattice parameters (Å, degrees): 5.085 10.095 10.095 23.70 90.00 90.00
Fractional positions:
Sr 0.000 0.000 0.000
Cl 0.000 0.395 0.395
Cl 0.000 0.605 0.605
Cl 0.500 0.230 0.230
Cl 0.500 0.499 0.499
Cl 0.500 0.769 0.769

No. 3
Theoretical powder XRD pattern of Sr2Cl for Cu Kα (λ = 1.5418 Å), from a structure optimized by DFT (GGA-PBE).

Main lines, low angle first (2θ from 10° to 90°):
- 21.95 deg, d = 4.050 Å, rel. 19.3
- 24.56 deg, d = 3.624 Å, rel. 47.5
- 25.10 deg, d = 3.548 Å, rel. 20.2
- 29.62 deg, d = 3.016 Å, rel. 100.0
- 33.18 deg, d = 2.700 Å, rel. 24.9
- 46.50 deg, d = 1.953 Å, rel. 42.3

Cell and atoms:
Lattice parameters (Å, degrees): 8.873 8.368 4.190 82.76 69.31 27.93
Fractional positions:
Sr 0.144 0.144 0.856
Sr 0.856 0.856 0.144
Cl 0.500 0.500 0.500

No. 4
Theoretical powder XRD pattern of SrCl5 for Cu Kα (λ = 1.5418 Å), from a structure optimized by DFT (GGA-PBE).

Main lines, low angle first (2θ from 10° to 90°):
- 11.15 deg, d = 7.934 Å, rel. 75.1
- 19.36 deg, d = 4.585 Å, rel. 90.8
- 25.53 deg, d = 3.488 Å, rel. 100.0
- 31.86 deg, d = 2.809 Å, rel. 72.4
- 33.90 deg, d = 2.645 Å, rel. 39.0
- 41.26 deg, d = 2.188 Å, rel. 49.5

Cell and atoms:
Lattice parameters (Å, degrees): 4.471 5.618 8.156 90.00 103.40 90.00
Fractional positions:
Sr 0.000 0.000 0.000
Cl 0.403 0.000 0.778
Cl 0.542 0.500 0.555
Cl 0.627 0.000 0.268
Cl 0.674 0.500 0.333
Cl 0.889 0.500 0.052

No. 5
Theoretical powder XRD pattern of SrTa2Cl for Cu Kα (λ = 1.5418 Å), from a structure optimized by DFT (GGA-PBE).

Main lines, low angle first (2θ from 10° to 90°):
- 11.10 deg, d = 7.974 Å, rel. 100.0
- 22.30 deg, d = 3.987 Å, rel. 22.0
- 30.27 deg, d = 2.953 Å, rel. 31.6
- 34.57 deg, d = 2.594 Å, rel. 47.6
- 36.94 deg, d = 2.433 Å, rel. 68.6
- 37.92 deg, d = 2.373 Å, rel. 27.9

Cell and atoms:
Lattice parameters (Å, degrees): 3.417 8.169 8.169 25.11 90.00 90.00
Fractional positions:
Sr 0.000 0.000 0.000
Ta 0.000 0.770 0.770
Ta 0.500 0.345 0.345
Cl 0.500 0.619 0.619

No. 6
Theoretical powder XRD pattern of SrTiTlCl6 for Cu Kα (λ = 1.5418 Å), from a structure optimized by DFT (GGA-PBE).

Main lines, low angle first (2θ from 10° to 90°):
- 19.57 deg, d = 4.535 Å, rel. 100.0
- 25.06 deg, d = 3.553 Å, rel. 20.8
- 28.42 deg, d = 3.140 Å, rel. 18.8
- 32.00 deg, d = 2.797 Å, rel. 26.0
- 36.85 deg, d = 2.439 Å, rel. 48.5
- 41.07 deg, d = 2.198 Å, rel. 29.3

Cell and atoms:
Lattice parameters (Å, degrees): 7.106 7.106 13.419 90.00 90.00 120.00
Fractional positions:
Sr 0.333 0.667 0.250
Sr 0.667 0.333 0.750
Ti 0.333 0.667 0.750
Ti 0.667 0.333 0.250
Tl 0.000 0.000 0.000
Tl 0.000 0.000 0.500
Cl 0.048 0.392 0.643
Cl 0.048 0.656 0.857
Cl 0.344 0.392 0.857
Cl 0.344 0.952 0.643
Cl 0.392 0.048 0.143
Cl 0.392 0.344 0.357
Cl 0.608 0.656 0.643
Cl 0.608 0.952 0.857
Cl 0.656 0.048 0.357
Cl 0.656 0.608 0.143
Cl 0.952 0.344 0.143
Cl 0.952 0.608 0.357

No. 7
Theoretical powder XRD pattern of Sr2Tl5Cl12 for Cu Kα (λ = 1.5418 Å), from a structure optimized by DFT (GGA-PBE).

Main lines, low angle first (2θ from 10° to 90°):
- 19.62 deg, d = 4.524 Å, rel. 100.0
- 20.26 deg, d = 4.383 Å, rel. 56.8
- 21.25 deg, d = 4.180 Å, rel. 49.1
- 23.67 deg, d = 3.759 Å, rel. 46.0
- 28.11 deg, d = 3.175 Å, rel. 76.1
- 39.95 deg, d = 2.257 Å, rel. 46.2

Cell and atoms:
Lattice parameters (Å, degrees): 9.036 9.036 9.438 104.00 104.00 59.87
Fractional positions:
Sr 0.249 0.751 0.000
Sr 0.751 0.249 0.000
Tl 0.205 0.205 0.424
Tl 0.235 0.235 0.957
Tl 0.500 0.500 0.500
Tl 0.765 0.765 0.043
Tl 0.795 0.795 0.576
Cl 0.035 0.035 0.825
Cl 0.042 0.582 0.847
Cl 0.184 0.580 0.491
Cl 0.418 0.958 0.153
Cl 0.420 0.816 0.509
Cl 0.452 0.452 0.165
Cl 0.548 0.548 0.835
Cl 0.580 0.184 0.491
Cl 0.582 0.042 0.847
Cl 0.816 0.420 0.509
Cl 0.958 0.418 0.153
Cl 0.965 0.965 0.175

No. 8
Theoretical powder XRD pattern of Sr2TlCl5 for Cu Kα (λ = 1.5418 Å), from a structure optimized by DFT (GGA-PBE).

Main lines, low angle first (2θ from 10° to 90°):
- 20.75 deg, d = 4.280 Å, rel. 49.4
- 21.20 deg, d = 4.191 Å, rel. 94.8
- 26.15 deg, d = 3.408 Å, rel. 94.1
- 32.26 deg, d = 2.775 Å, rel. 100.0
- 35.47 deg, d = 2.531 Å, rel. 34.6
- 43.54 deg, d = 2.079 Å, rel. 50.3

Cell and atoms:
Lattice parameters (Å, degrees): 8.793 8.793 8.793 150.64 131.03 58.13
Fractional positions:
Sr 0.184 0.184 0.000
Sr 0.816 0.816 0.000
Tl 0.500 0.000 0.500
Cl 0.000 0.000 0.000
Cl 0.108 0.344 0.764
Cl 0.419 0.656 0.764
Cl 0.581 0.344 0.236
Cl 0.892 0.656 0.236